The following is a calculated powder diffractogram of MnFe2Co3. It was derived from a PBE-relaxed structure, using a wavelength of 1.5418 Å.
Peak positions follow from Bragg's law for the DFT cell and can differ from measured ones.

Largest 3 diffraction maxima, sorted by position, 2θ = 10–90°:
| two_theta | d (Å) | intensity | (hkl) |
| --- | --- | --- | --- |
| 44.9 | 2.020 | 100 | 1 1 0 |
| 65.3 | 1.428 | 15 | 2 0 0 |
| 82.8 | 1.166 | 28 | 2 1 3 |

Structural model:
```
data_MnFe2Co3
_chemical_formula_sum 'Mn1 Fe2 Co3'
_space_group_name_H-M_alt 'P 4/m m m'
_space_group_IT_number 123
_space_group_name_Hall '-P 4 2'
_cell_length_a 2.856
_cell_length_b 2.856
_cell_length_c 8.572
_cell_angle_alpha 90.00
_cell_angle_beta 90.00
_cell_angle_gamma 90.00
loop_
_atom_site_label
_atom_site_fract_x
_atom_site_fract_y
_atom_site_fract_z
_atom_site_occupancy
Mn1 0.000 0.000 0.000 1
Fe1 0.000 0.000 0.334 1
Co1 0.500 0.500 0.173 1
Co2 0.500 0.500 0.500 1
```

The following is a calculated powder diffractogram of Mn2Fe3Co6. It was derived from a PBE-relaxed structure, using a wavelength of 1.5418 Å.
Peak positions follow from Bragg's law for the DFT cell and can differ from measured ones.

Largest 10 diffraction maxima, sorted by position, 2θ = 10–90°:
| two_theta | d (Å) | intensity | (hkl) |
| --- | --- | --- | --- |
| 22.2 | 4.012 | 5 | 0 1 -1 |
| 45.2 | 2.005 | 70 | 2 -2 0 |
| 45.5 | 1.994 | 35 | 1 1 1 |
| 45.9 | 1.977 | 100 | 1 -1 3 |
| 65.6 | 1.424 | 10 | -1 3 1 |
| 66.6 | 1.404 | 10 | 3 -1 1 |
| 67.3 | 1.392 | 9 | 1 1 -5 |
| 84.0 | 1.152 | 9 | 3 -3 3 |
| 84.4 | 1.148 | 14 | 0 2 4 |
| 84.9 | 1.143 | 5 | 2 0 4 |

Structural model:
```
data_Mn2Fe3Co6
_chemical_formula_sum 'Mn2 Fe3 Co6'
_space_group_name_H-M_alt 'P 1'
_space_group_IT_number 1
_cell_length_a 4.661
_cell_length_b 4.732
_cell_length_c 7.222
_cell_angle_alpha 100.06
_cell_angle_beta 99.71
_cell_angle_gamma 117.31
loop_
_space_group_symop_operation_xyz
'x,y,z'
loop_
_atom_site_label
_atom_site_fract_x
_atom_site_fract_y
_atom_site_fract_z
_atom_site_occupancy
Mn1 0.000 0.000 0.000 1
Mn2 0.335 0.817 0.807 1
Fe1 0.154 0.621 0.146 1
Fe2 0.157 0.157 0.640 1
Fe3 0.497 0.009 0.469 1
Co1 0.019 0.489 0.466 1
Co2 0.497 0.482 0.975 1
Co3 0.632 0.140 0.149 1
Co4 0.671 0.650 0.632 1
Co5 0.808 0.797 0.311 1
Co6 0.829 0.321 0.806 1
```

The following is a calculated powder diffractogram of MnFe12Co6. It was derived from a PBE-relaxed structure, using a wavelength of 1.5418 Å.
Peak positions follow from Bragg's law for the DFT cell and can differ from measured ones.

Largest 10 diffraction maxima, sorted by position, 2θ = 10–90°:
| two_theta | d (Å) | intensity | (hkl) |
| --- | --- | --- | --- |
| 14.9 | 5.933 | 18 | 1 0 1 |
| 28.3 | 3.148 | 28 | 2 1 1 |
| 37.4 | 2.402 | 99 | 1 3 1 |
| 38.5 | 2.336 | 62 | 1 1 3 |
| 44.9 | 2.017 | 100 | 3 2 1 |
| 45.9 | 1.978 | 92 | 0 3 3 |
| 49.5 | 1.842 | 55 | 2 3 2 |
| 50.8 | 1.797 | 52 | 0 2 4 |
| 52.2 | 1.751 | 28 | 3 3 0 |
| 55.7 | 1.650 | 54 | 5 0 2 |

Structural model:
```
data_MnFe12Co6
_chemical_formula_sum 'Mn3 Fe36 Co18'
_space_group_name_H-M_alt 'R -3 m'
_space_group_IT_number 166
_space_group_name_Hall '-R 3 2"'
_cell_length_a 10.5057
_cell_length_b 10.5057
_cell_length_c 7.8252
_cell_angle_alpha 90.00
_cell_angle_beta 90.00
_cell_angle_gamma 120.00
loop_
_atom_site_label
_atom_site_fract_x
_atom_site_fract_y
_atom_site_fract_z
_atom_site_occupancy
Mn1 0.0000 0.0000 0.0000 1
Fe1 0.0000 0.3842 0.5000 1
Fe2 0.0844 0.1689 0.2875 1
Co1 0.0647 0.5324 0.2365 1
```

The following is a calculated powder diffractogram of MnFe2Co. It was derived from a PBE-relaxed structure, using a wavelength of 1.5418 Å.
Peak positions follow from Bragg's law for the DFT cell and can differ from measured ones.

Largest 5 diffraction maxima, sorted by position, 2θ = 10–90°:
| two_theta | d (Å) | intensity | (hkl) |
| --- | --- | --- | --- |
| 44.2 | 2.051 | 100 | 1 1 2 |
| 51.2 | 1.784 | 16 | 0 0 4 |
| 51.6 | 1.773 | 31 | 2 0 0 |
| 75.6 | 1.257 | 18 | 2 0 4 |
| 75.9 | 1.254 | 9 | 2 2 0 |

Structural model:
```
data_MnFe2Co
_chemical_formula_sum 'Mn2 Fe4 Co2'
_space_group_name_H-M_alt 'I -4 m 2'
_space_group_IT_number 119
_space_group_name_Hall 'I -4 -2'
_cell_length_a 3.546
_cell_length_b 3.546
_cell_length_c 7.135
_cell_angle_alpha 90.00
_cell_angle_beta 90.00
_cell_angle_gamma 90.00
loop_
_atom_site_label
_atom_site_fract_x
_atom_site_fract_y
_atom_site_fract_z
_atom_site_occupancy
Mn1 0.000 0.000 0.000 1
Fe1 0.000 0.000 0.500 1
Fe2 0.000 0.500 0.250 1
Co1 0.000 0.500 0.750 1
```

The following is a calculated powder diffractogram of Mn6Fe3Co. It was derived from a PBE-relaxed structure, using a wavelength of 1.5418 Å.
Peak positions follow from Bragg's law for the DFT cell and can differ from measured ones.

Largest 10 diffraction maxima, sorted by position, 2θ = 10–90°:
| two_theta | d (Å) | intensity | (hkl) |
| --- | --- | --- | --- |
| 40.7 | 2.215 | 70 | 1 3 2 |
| 42.7 | 2.116 | 42 | 2 4 0 |
| 43.2 | 2.096 | 89 | 2 2 2 |
| 43.7 | 2.070 | 100 | 3 1 1 |
| 44.5 | 2.037 | 21 | 0 4 2 |
| 45.3 | 2.001 | 93 | 2 4 1 |
| 46.3 | 1.962 | 63 | 1 5 1 |
| 47.4 | 1.918 | 84 | 0 2 3 |
| 51.1 | 1.789 | 36 | 3 1 2 |
| 75.4 | 1.260 | 23 | 3 1 4 |

Structural model:
```
data_Mn6Fe3Co
_chemical_formula_sum 'Mn24 Fe12 Co4'
_space_group_name_H-M_alt 'C m c 21'
_space_group_IT_number 36
_cell_length_a 6.735
_cell_length_b 10.877
_cell_length_c 6.151
_cell_angle_alpha 90.00
_cell_angle_beta 90.00
_cell_angle_gamma 90.00
loop_
_space_group_symop_operation_xyz
'x,y,z'
'-x,-y,z+1/2'
'-x,y,z'
'x,-y,z+1/2'
'x+1/2,y+1/2,z'
'-x+1/2,-y+1/2,z+1/2'
'-x+1/2,y+1/2,z'
'x+1/2,-y+1/2,z+1/2'
loop_
_atom_site_label
_atom_site_fract_x
_atom_site_fract_y
_atom_site_fract_z
_atom_site_occupancy
Mn1 0.000 0.061 0.000 1
Mn2 0.000 0.302 0.874 1
Mn3 0.169 0.144 0.643 1
Mn4 0.219 0.057 0.321 1
Fe1 0.000 0.473 0.149 1
Fe2 0.185 0.347 0.499 1
Co1 0.000 0.235 0.243 1
```

The following is a calculated powder diffractogram of Mn2Fe3Co3. It was derived from a PBE-relaxed structure, using a wavelength of 1.5418 Å.
Peak positions follow from Bragg's law for the DFT cell and can differ from measured ones.

Largest 9 diffraction maxima, sorted by position, 2θ = 10–90°:
| two_theta | d (Å) | intensity | (hkl) |
| --- | --- | --- | --- |
| 44.6 | 2.033 | 26 | 0 0 8 |
| 44.9 | 2.018 | 26 | 0 2 0 |
| 45.2 | 2.007 | 100 | 1 1 4 |
| 65.1 | 1.432 | 15 | 0 2 8 |
| 66.5 | 1.406 | 7 | 2 0 0 |
| 82.6 | 1.169 | 15 | 1 1 12 |
| 83.0 | 1.163 | 14 | 1 3 4 |
| 83.6 | 1.156 | 7 | 2 0 8 |
| 83.9 | 1.154 | 7 | 2 2 0 |

Structural model:
```
data_Mn2Fe3Co3
_chemical_formula_sum 'Mn4 Fe6 Co6'
_space_group_name_H-M_alt 'I m m m'
_space_group_IT_number 71
_space_group_name_Hall '-I 2 2'
_cell_length_a 2.811
_cell_length_b 4.037
_cell_length_c 16.264
_cell_angle_alpha 90.00
_cell_angle_beta 90.00
_cell_angle_gamma 90.00
loop_
_atom_site_label
_atom_site_fract_x
_atom_site_fract_y
_atom_site_fract_z
_atom_site_occupancy
Mn1 0.000 0.000 0.248 1
Fe1 0.000 0.000 0.000 1
Fe2 0.000 0.500 0.124 1
Co1 0.000 0.000 0.500 1
Co2 0.000 0.500 0.376 1
```

The following is a calculated powder diffractogram of MnFe6Co. It was derived from a PBE-relaxed structure, using a wavelength of 1.5418 Å.
Peak positions follow from Bragg's law for the DFT cell and can differ from measured ones.

Largest 5 diffraction maxima, sorted by position, 2θ = 10–90°:
| two_theta | d (Å) | intensity | (hkl) |
| --- | --- | --- | --- |
| 45.2 | 2.006 | 100 | 0 1 8 |
| 45.3 | 2.002 | 99 | 1 1 0 |
| 65.9 | 1.417 | 29 | 2 0 8 |
| 83.4 | 1.159 | 14 | 1 0 16 |
| 83.6 | 1.156 | 43 | 3 0 0 |

Structural model:
```
data_MnFe6Co
_chemical_formula_sum 'Mn3 Fe18 Co3'
_space_group_name_H-M_alt 'R -3 m'
_space_group_IT_number 166
_space_group_name_Hall '-R 3 2"'
_cell_length_a 4.0035
_cell_length_b 4.0035
_cell_length_c 19.6823
_cell_angle_alpha 90.00
_cell_angle_beta 90.00
_cell_angle_gamma 120.00
loop_
_atom_site_label
_atom_site_fract_x
_atom_site_fract_y
_atom_site_fract_z
_atom_site_occupancy
Mn1 0.0000 0.0000 0.0000 1
Fe1 0.0000 0.0000 0.1251 1
Fe2 0.0000 0.0000 0.2505 1
Fe3 0.0000 0.0000 0.3750 1
Co1 0.0000 0.0000 0.5000 1
```

The following is a calculated powder diffractogram of Mn14FeCo. It was derived from a PBE-relaxed structure, using a wavelength of 1.5418 Å.
Peak positions follow from Bragg's law for the DFT cell and can differ from measured ones.

Largest 8 diffraction maxima, sorted by position, 2θ = 10–90°:
| two_theta | d (Å) | intensity | (hkl) |
| --- | --- | --- | --- |
| 12.2 | 7.239 | 1 | 0 0 1 |
| 44.0 | 2.056 | 100 | 2 2 2 |
| 50.4 | 1.810 | 16 | 0 0 4 |
| 51.1 | 1.787 | 16 | 0 4 0 |
| 52.4 | 1.747 | 14 | 4 0 0 |
| 74.6 | 1.272 | 9 | 0 4 4 |
| 75.7 | 1.257 | 9 | 4 0 4 |
| 76.2 | 1.249 | 8 | 4 4 0 |

Structural model:
```
data_Mn14FeCo
_chemical_formula_sum 'Mn28 Fe2 Co2'
_space_group_name_H-M_alt 'C m m m'
_space_group_IT_number 65
_space_group_name_Hall '-C 2 2'
_cell_length_a 6.988
_cell_length_b 7.148
_cell_length_c 7.239
_cell_angle_alpha 90.00
_cell_angle_beta 90.00
_cell_angle_gamma 90.00
loop_
_atom_site_label
_atom_site_fract_x
_atom_site_fract_y
_atom_site_fract_z
_atom_site_occupancy
Mn1 0.000 0.000 0.000 1
Mn2 0.000 0.250 0.258 1
Mn3 0.000 0.500 0.000 1
Mn4 0.250 0.000 0.255 1
Mn5 0.250 0.250 0.000 1
Mn6 0.250 0.250 0.500 1
Fe1 0.000 0.000 0.500 1
Co1 0.000 0.500 0.500 1
```

The following is a calculated powder diffractogram of MnFe5Co. It was derived from a PBE-relaxed structure, using a wavelength of 1.5418 Å.
Peak positions follow from Bragg's law for the DFT cell and can differ from measured ones.

Largest 10 diffraction maxima, sorted by position, 2θ = 10–90°:
| two_theta | d (Å) | intensity | (hkl) |
| --- | --- | --- | --- |
| 45.0 | 2.016 | 69 | 1 0 -3 |
| 45.2 | 2.007 | 69 | 1 1 2 |
| 45.4 | 1.998 | 70 | 2 1 -1 |
| 45.7 | 1.984 | 100 | 0 3 0 |
| 45.9 | 1.977 | 50 | 1 -2 2 |
| 65.8 | 1.419 | 16 | -1 3 3 |
| 66.4 | 1.407 | 14 | 1 3 -3 |
| 66.6 | 1.404 | 13 | 3 -1 1 |
| 83.8 | 1.155 | 13 | 0 2 -5 |
| 84.0 | 1.152 | 13 | 2 -1 4 |

Structural model:
```
data_MnFe5Co
_chemical_formula_sum 'Mn2 Fe10 Co2'
_space_group_name_H-M_alt 'P -1'
_space_group_IT_number 2
_cell_length_a 4.668
_cell_length_b 6.091
_cell_length_c 6.208
_cell_angle_alpha 92.32
_cell_angle_beta 102.49
_cell_angle_gamma 101.47
loop_
_space_group_symop_operation_xyz
'x,y,z'
'-x,-y,-z'
loop_
_atom_site_label
_atom_site_fract_x
_atom_site_fract_y
_atom_site_fract_z
_atom_site_occupancy
Mn1 0.000 0.000 0.000 1
Mn2 0.500 0.500 0.500 1
Fe1 0.037 0.666 0.663 1
Fe2 0.208 0.664 0.087 1
Fe3 0.219 0.016 0.406 1
Fe4 0.389 0.325 0.123 1
Fe5 0.398 0.000 0.803 1
Co1 0.188 0.325 0.736 1
```

The following is a calculated powder diffractogram of MnFe8Co2. It was derived from a PBE-relaxed structure, using a wavelength of 1.5418 Å.
Peak positions follow from Bragg's law for the DFT cell and can differ from measured ones.

Largest 10 diffraction maxima, sorted by position, 2θ = 10–90°:
| two_theta | d (Å) | intensity | (hkl) |
| --- | --- | --- | --- |
| 43.6 | 2.076 | 52 | 2 0 -3 |
| 43.9 | 2.061 | 50 | 8 0 -1 |
| 44.1 | 2.055 | 100 | 3 1 1 |
| 49.7 | 1.836 | 34 | 6 0 2 |
| 51.9 | 1.762 | 60 | 5 1 -2 |
| 74.4 | 1.275 | 18 | 1 1 4 |
| 74.9 | 1.268 | 17 | 11 1 0 |
| 76.0 | 1.252 | 9 | 10 0 -4 |
| 76.9 | 1.240 | 8 | 0 2 0 |
| 89.2 | 1.098 | 11 | 9 1 3 |

Structural model:
```
data_MnFe8Co2
_chemical_formula_sum 'Mn2 Fe16 Co4'
_space_group_name_H-M_alt 'C 1 2 1'
_space_group_IT_number 5
_cell_length_a 16.611
_cell_length_b 2.480
_cell_length_c 6.233
_cell_angle_alpha 90.00
_cell_angle_beta 102.37
_cell_angle_gamma 90.00
loop_
_space_group_symop_operation_xyz
'x,y,z'
'-x,y,-z'
'x+1/2,y+1/2,z'
'-x+1/2,y+1/2,-z'
loop_
_atom_site_label
_atom_site_fract_x
_atom_site_fract_y
_atom_site_fract_z
_atom_site_occupancy
Mn1 0.000 0.000 0.000 1
Fe1 0.042 0.501 0.361 1
Fe2 0.095 0.002 0.733 1
Fe3 0.135 0.500 0.091 1
Fe4 0.181 0.998 0.455 1
Co1 0.230 0.500 0.825 1
```

The following is a calculated powder diffractogram of MnFe5Co2Mo2. It was derived from a PBE-relaxed structure, using a wavelength of 1.5418 Å.
Peak positions follow from Bragg's law for the DFT cell and can differ from measured ones.

Largest 10 diffraction maxima, sorted by position, 2θ = 10–90°:
| two_theta | d (Å) | intensity | (hkl) |
| --- | --- | --- | --- |
| 34.5 | 2.596 | 19 | 2 1 1 |
| 39.7 | 2.272 | 16 | 2 2 1 |
| 42.8 | 2.113 | 100 | 3 1 1 |
| 46.0 | 1.972 | 28 | 4 1 0 |
| 47.2 | 1.927 | 23 | 3 2 1 |
| 47.4 | 1.917 | 16 | 3 3 0 |
| 49.1 | 1.854 | 29 | 0 0 2 |
| 51.2 | 1.783 | 15 | 4 0 1 |
| 69.6 | 1.351 | 15 | 4 1 2 |
| 87.6 | 1.114 | 13 | 3 1 3 |

Structural model:
```
data_MnFe5Co2Mo2
_chemical_formula_sum 'Mn2 Fe10 Co4 Mo4'
_space_group_name_H-M_alt 'P 4/m b m'
_space_group_IT_number 127
_space_group_name_Hall '-P 4 2ab'
_cell_length_a 8.132
_cell_length_b 8.132
_cell_length_c 3.708
_cell_angle_alpha 90.00
_cell_angle_beta 90.00
_cell_angle_gamma 90.00
loop_
_atom_site_label
_atom_site_fract_x
_atom_site_fract_y
_atom_site_fract_z
_atom_site_occupancy
Mn1 0.000 0.000 0.000 1
Fe1 0.000 0.500 0.500 1
Fe2 0.066 0.201 0.500 1
Co1 0.130 0.370 0.000 1
Mo1 0.167 0.667 0.000 1
```